This entry pairs a crystal structure of Na2SnO3 with its simulated powder XRD pattern. Radiation: CuKα. Structure: the PBE geometry in the Materials Project.
Peak positions follow from Bragg's law for the DFT cell and can differ from measured ones.

Cell and atoms:
```
24
Lattice="2.8074 -4.8635 0.0000 2.8074 4.8635 0.0000 -1.8572 0.0000 11.0535" Properties=species:S:1:pos:R:3 pbc="T T T"
Na 0.4751 2.4317 5.5268
Na 1.4145 4.0448 8.2901
Na 1.3300 0.7811 0.0117
Na 0.4014 -0.7811 5.5385
Na 1.4037 -2.4317 0.0000
Na 3.3563 0.7811 5.5150
Na 2.4277 -0.7811 11.0418
Na 2.3431 -4.0448 2.7634
Sn 2.3431 2.4342 2.7634
Sn 1.4145 0.8007 8.2901
Sn 2.3431 -0.8007 2.7634
Sn 1.4145 -2.4342 8.2901
O -0.3599 0.9728 7.1071
O 0.3741 2.2460 9.4578
O 0.5687 -0.9728 1.5803
O 1.6068 0.8166 3.9377
O 2.4549 2.2460 7.1224
O 0.6782 -0.8166 9.4645
O 3.0794 0.8166 1.5890
O 1.3027 -2.2460 3.9311
O 2.1508 -0.8166 7.1158
O 3.1889 0.9728 9.4732
O 3.3835 -2.2460 1.5957
O 4.1176 -0.9728 3.9465
```

Largest 6 diffraction maxima, low angle first, 10 to 90 degrees two-theta:
two_theta  I (rel.)
16.04  76
32.36  49
33.70  48
38.74  100
55.08  32
56.79  30